Entry 1:
Calculated powder diffraction line list
Compound: Mn2FeReO6
Radiation: CuKα
Structure: a crystal structure in the Materials Project, relaxed with PBE+U

Structural model:
a = 5.3169 Å, b = 5.4063 Å, c = 7.8600 Å
α = 90.00°, β = 90.04°, γ = 90.00°
Space group P2_1 (No. 4)
Unique sites:
Mn (0.2418, 0.0000, 0.0086) x2
Mn (0.2501, 0.9050, 0.4922) x2
Fe (0.2506, 0.4513, 0.2512) x2
Re (0.2532, 0.4506, 0.7503) x2
O (0.0558, 0.7667, 0.1919) x2
O (0.0905, 0.7454, 0.8239) x2
O (0.1312, 0.5231, 0.5180) x2
O (0.3736, 0.3815, 0.9819) x2
O (0.4104, 0.1521, 0.6743) x2
O (0.4316, 0.1242, 0.3028) x2

The 8 most intense peaks (10 to 90 degrees two-theta), sorted by position:
| 2θ/deg | intensity | hkl |
| --- | --- | --- |
| 19.9 | 31 | 0 1 1 |
| 20.2 | 25 | 1 0 1 |
| 23.5 | 24 | 1 1 0 |
| 32.8 | 100 | 1 1 -2 |
| 33.1 | 22 | 0 2 0 |
| 33.7 | 23 | 2 0 0 |
| 48.0 | 21 | 2 2 0 |
| 59.7 | 24 | 3 1 -2 |

---

Entry 2:
Calculated powder diffraction line list
Compound: Y2MnSbO7
Radiation: CuKα
Structure: a crystal structure in the Materials Project, relaxed with PBE+U

Structural model:
a = 7.1452 Å, b = 7.4920 Å, c = 10.3649 Å
α = 90.00°, β = 90.00°, γ = 90.00°
Space group Imma (No. 74)
Unique sites:
Y (0.0000, 0.0000, 0.0000) x4
Y (0.2500, 0.2500, 0.2500) x4
Mn (0.2500, 0.2500, 0.7500) x4
Sb (0.0000, 0.0000, 0.5000) x4
O (0.0000, 0.2500, 0.1227) x4
O (0.0000, 0.2500, 0.4218) x4
O (0.0000, 0.2500, 0.8313) x4
O (0.2080, 0.0321, 0.6254) x16

The 8 most intense peaks (10 to 90 degrees two-theta), sorted by position:
| 2θ/deg | intensity | hkl |
| --- | --- | --- |
| 29.4 | 100 | 0 2 2 |
| 30.4 | 93 | 2 0 2 |
| 34.7 | 50 | 0 0 4 |
| 48.6 | 19 | 0 4 0 |
| 49.8 | 65 | 2 2 4 |
| 51.1 | 15 | 4 0 0 |
| 58.4 | 27 | 2 4 2 |
| 60.1 | 25 | 4 2 2 |

---

Entry 3:
Calculated powder diffraction line list
Compound: CoPtO2
Radiation: CuKα
Structure: a crystal structure in the Materials Project, relaxed with PBE+U

Structural model:
a = 2.8837 Å, b = 7.4648 Å, c = 8.5718 Å
α = 76.72°, β = 80.34°, γ = 79.01°
Space group P-1 (No. 2)
Unique sites:
Co (0.2473, 0.3744, 0.1291) x2
Co (0.2504, 0.8768, 0.6213) x2
Pt (0.0000, 0.0000, 0.0000) x1
Pt (0.0000, 0.5000, 0.5000) x1
Pt (0.4970, 0.7510, 0.2524) x2
O (0.1641, 0.8138, 0.8557) x2
O (0.1667, 0.2985, 0.3706) x2
O (0.3308, 0.9472, 0.3906) x2
O (0.3421, 0.4386, 0.8834) x2

The 8 most intense peaks (10 to 90 degrees two-theta), sorted by position:
| 2θ/deg | intensity | hkl |
| --- | --- | --- |
| 14.6 | 84 | 0 1 1 |
| 29.4 | 77 | 0 2 2 |
| 36.3 | 57 | 1 1 -1 |
| 37.3 | 100 | 0 1 -3 |
| 37.4 | 49 | 1 2 0 |
| 41.2 | 57 | 1 1 3 |
| 41.4 | 28 | 0 3 -1 |
| 64.6 | 34 | 2 1 1 |

---

Entry 4:
Calculated powder diffraction line list
Compound: NaMnO2
Radiation: CuKα
Structure: a crystal structure in the Materials Project, relaxed with PBE+U

Structural model:
a = 11.7393 Å, b = 5.8307 Å, c = 5.7449 Å
α = 90.00°, β = 113.09°, γ = 90.00°
Space group C2/c (No. 15)
Unique sites:
Na (0.2502, 0.1258, 0.2498) x8
Mn (0.0000, 0.1262, 0.7500) x4
Mn (0.0000, 0.3735, 0.2500) x4
O (0.1026, 0.1241, 0.4565) x8
O (0.1027, 0.3759, 0.9563) x8

The 8 most intense peaks (10 to 90 degrees two-theta), sorted by position:
| 2θ/deg | intensity | hkl |
| --- | --- | --- |
| 16.4 | 90 | 2 0 0 |
| 33.2 | 23 | 4 0 0 |
| 33.9 | 22 | 0 0 2 |
| 36.0 | 31 | 2 2 -1 |
| 37.1 | 80 | 4 0 -2 |
| 41.9 | 100 | 2 2 1 |
| 56.7 | 36 | 6 2 -1 |
| 57.7 | 34 | 2 2 -3 |

---

Entry 5:
Calculated powder diffraction line list
Compound: MgTiCo5O12
Radiation: CuKα
Structure: a crystal structure in the Materials Project, relaxed with PBE+U

Structural model:
a = 4.9438 Å, b = 4.9512 Å, c = 10.0019 Å
α = 86.01°, β = 82.84°, γ = 60.63°
Space group P1 (No. 1)
Unique sites:
Mg (0.0000, 0.0000, 0.0000) x1
Ti (0.3992, 0.3380, 0.7324) x1
Co (0.0660, 0.0032, 0.7418) x1
Co (0.2501, 0.6810, 0.2551) x1
Co (0.5862, 0.0162, 0.2484) x1
Co (0.7287, 0.6697, 0.7563) x1
Co (0.9160, 0.3472, 0.2486) x1
O (0.0349, 0.3229, 0.8526) x1
O (0.0704, 0.6754, 0.6502) x1
O (0.2340, 0.3370, 0.3404) x1
O (0.2645, 0.0167, 0.1490) x1
O (0.3591, 0.6839, 0.8529) x1
O (0.4372, 0.9858, 0.6506) x1
O (0.5718, 0.6744, 0.3406) x1
O (0.6470, 0.3149, 0.1385) x1
O (0.7206, 0.9964, 0.8523) x1
O (0.7590, 0.3521, 0.6511) x1
O (0.8616, 0.0445, 0.3476) x1
O (0.9429, 0.6945, 0.1488) x1

The 8 most intense peaks (10 to 90 degrees two-theta), sorted by position:
| 2θ/deg | intensity | hkl |
| --- | --- | --- |
| 17.9 | 100 | 0 0 2 |
| 36.7 | 16 | 1 -1 1 |
| 36.9 | 8 | 1 2 1 |
| 37.7 | 7 | -1 1 1 |
| 38.9 | 7 | 2 1 2 |
| 46.8 | 8 | -1 1 3 |
| 47.5 | 8 | 1 2 -3 |
| 48.9 | 8 | 2 1 4 |

---

Entry 6:
Calculated powder diffraction line list
Compound: Li3MnCo2O6
Radiation: CuKα
Structure: a crystal structure in the Materials Project, relaxed with PBE+U

Structural model:
a = 5.2404 Å, b = 2.9124 Å, c = 14.6202 Å
α = 90.00°, β = 92.32°, γ = 90.00°
Space group C2/m (No. 12)
Unique sites:
Li (0.0000, 0.0000, 0.0000) x2
Li (0.1704, 0.5000, 0.3314) x4
Mn (0.0000, 0.0000, 0.5000) x2
Co (0.1671, 0.5000, 0.8343) x4
O (0.0012, 0.0000, 0.2409) x4
O (0.1377, 0.5000, 0.5788) x4
O (0.1651, 0.5000, 0.0904) x4

The 8 most intense peaks (10 to 90 degrees two-theta), sorted by position:
| 2θ/deg | intensity | hkl |
| --- | --- | --- |
| 18.2 | 100 | 0 0 3 |
| 34.6 | 18 | 2 0 -1 |
| 35.9 | 26 | 1 1 1 |
| 36.9 | 10 | 0 0 6 |
| 41.6 | 30 | 2 0 -4 |
| 43.8 | 50 | 1 1 4 |
| 46.9 | 11 | 1 1 -5 |
| 62.0 | 30 | 3 1 0 |

---

Entry 7:
Calculated powder diffraction line list
Compound: LiMnCoO4
Radiation: CuKα
Structure: a crystal structure in the Materials Project, relaxed with PBE+U

Structural model:
a = 5.7099 Å, b = 5.7929 Å, c = 5.8428 Å
α = 117.99°, β = 118.84°, γ = 90.99°
Space group P-1 (No. 2)
Unique sites:
Li (0.0000, 0.0000, 0.0000) x1
Li (0.0000, 0.5000, 0.5000) x1
Mn (0.5000, 0.0000, 0.5000) x1
Mn (0.5000, 0.5000, 0.0000) x1
Co (0.0000, 0.0000, 0.5000) x1
Co (0.5000, 0.0000, 0.0000) x1
O (0.2427, 0.2166, 0.4856) x2
O (0.2439, 0.2169, 0.9412) x2
O (0.2450, 0.7845, 0.5123) x2
O (0.2918, 0.7756, 0.0412) x2

The 8 most intense peaks (10 to 90 degrees two-theta), sorted by position:
| 2θ/deg | intensity | hkl |
| --- | --- | --- |
| 18.3 | 54 | 0 1 0 |
| 18.7 | 100 | 1 0 -1 |
| 35.1 | 13 | 1 0 1 |
| 37.0 | 12 | 2 1 -2 |
| 37.9 | 10 | 2 0 0 |
| 42.1 | 33 | 0 0 2 |
| 44.2 | 29 | 2 -2 0 |
| 45.0 | 28 | 2 2 -2 |

---

Entry 8:
Calculated powder diffraction line list
Compound: Li6Mn15O32
Radiation: CuKα
Structure: a crystal structure in the Materials Project, relaxed with PBE+U

Structural model:
a = 5.8645 Å, b = 5.8919 Å, c = 19.4067 Å
α = 97.91°, β = 90.16°, γ = 118.85°
Space group P1 (No. 1)
Unique sites:
Li (0.0000, 0.0000, 0.0000) x1
Li (0.0538, 0.1418, 0.1848) x1
Li (0.2417, 0.5101, 0.7479) x1
Li (0.3135, 0.6404, 0.9419) x1
Li (0.7394, 0.5011, 0.2432) x1
Li (0.8110, 0.6333, 0.4364) x1
Mn (0.0251, 0.0693, 0.5920) x1
Mn (0.0256, 0.5700, 0.0923) x1
Mn (0.0256, 0.5697, 0.5922) x1
Mn (0.1556, 0.3269, 0.4686) x1
Mn (0.2769, 0.5726, 0.3418) x1
Mn (0.2778, 0.0692, 0.3427) x1
Mn (0.2783, 0.0720, 0.8420) x1
Mn (0.3994, 0.8121, 0.2131) x1
Mn (0.5261, 0.5697, 0.5921) x1
Mn (0.5268, 0.0704, 0.0926) x1
Mn (0.6530, 0.3298, 0.9717) x1
Mn (0.7741, 0.0708, 0.3429) x1
Mn (0.7754, 0.0731, 0.8419) x1
Mn (0.7755, 0.5699, 0.8429) x1
Mn (0.8963, 0.8138, 0.7159) x1
O (0.0495, 0.6921, 0.7801) x1
O (0.0661, 0.1534, 0.7812) x1
O (0.1113, 0.2150, 0.2897) x1
O (0.1231, 0.7230, 0.2855) x1
O (0.1634, 0.9106, 0.6507) x1
O (0.2058, 0.4907, 0.1597) x1
O (0.2250, 0.9265, 0.1509) x1
O (0.2270, 0.4685, 0.6469) x1
O (0.3162, 0.6543, 0.5323) x1
O (0.3238, 0.2259, 0.5342) x1
O (0.3293, 0.7226, 0.0421) x1
O (0.3782, 0.1838, 0.0249) x1
O (0.4271, 0.4221, 0.4011) x1
O (0.4390, 0.9218, 0.3943) x1
O (0.4863, 0.9824, 0.8998) x1
O (0.5013, 0.4509, 0.9053) x1
O (0.5587, 0.7007, 0.2811) x1
O (0.5678, 0.1596, 0.2857) x1
O (0.6040, 0.2168, 0.7915) x1
O (0.6251, 0.7197, 0.7837) x1
O (0.6744, 0.9563, 0.1599) x1
O (0.7229, 0.4187, 0.1429) x1
O (0.7274, 0.9138, 0.6497) x1
O (0.7354, 0.4856, 0.6519) x1
O (0.8249, 0.6707, 0.5372) x1
O (0.8275, 0.2145, 0.0340) x1
O (0.8479, 0.6509, 0.0251) x1
O (0.8878, 0.2294, 0.5333) x1
O (0.9281, 0.4183, 0.8987) x1
O (0.9495, 0.9307, 0.8940) x1
O (0.9844, 0.9887, 0.4027) x1
O (0.9947, 0.4410, 0.4028) x1

The 8 most intense peaks (10 to 90 degrees two-theta), sorted by position:
| 2θ/deg | intensity | hkl |
| --- | --- | --- |
| 18.3 | 79 | 1 0 1 |
| 18.5 | 100 | -1 1 1 |
| 35.6 | 14 | 1 1 -5 |
| 35.9 | 16 | -2 1 4 |
| 36.1 | 19 | 1 -1 7 |
| 42.8 | 33 | 0 2 4 |
| 43.5 | 32 | 2 0 -6 |
| 44.0 | 31 | 2 -2 6 |